# 1
Starting from a GGA-PBE-relaxed structure, the X-ray powder pattern of Y3BiRu4O14 was simulated for λ = 1.5418 Å (Cu Kα).
Neutral-atom scattering factors, no anomalous dispersion.

Most intense lines, 5° ≤ 2θ ≤ 70°, in order of rising 2θ:
- 14.92 deg, intensity 8
- 17.23 deg, intensity 5
- 24.47 deg, intensity 5
- 28.74 deg, intensity 6
- 30.04 deg, intensity 100
- 30.15 deg, intensity 34
- 34.86 deg, intensity 40
- 50.06 deg, intensity 32
- 50.20 deg, intensity 32
- 59.53 deg, intensity 42
- 59.68 deg, intensity 14
- 62.45 deg, intensity 9

Cell and atoms:
```
data_Y3BiRu4O14
_chemical_formula_sum 'Y9 Bi3 Ru12 O42'
_cell_length_a 7.2888
_cell_length_b 7.2888
_cell_length_c 17.7847
_cell_angle_alpha 90.00
_cell_angle_beta 90.00
_cell_angle_gamma 120.00
_space_group_name_H-M_alt 'R -3 m'
_space_group_IT_number 166
_space_group_name_Hall '-R 3 2"'
loop_
_atom_site_label
_atom_site_fract_x
_atom_site_fract_y
_atom_site_fract_z
_atom_site_occupancy
Y1 0.0000 0.5000 0.0000 1
Bi1 0.0000 0.0000 0.5000 1
Ru1 0.0000 0.0000 0.0000 1
Ru2 0.0000 0.5000 0.5000 1
O1 0.0000 0.0000 0.3709 1
O2 0.0539 0.5270 0.6114 1
O3 0.0571 0.5285 0.8612 1
```



# 2
Starting from a GGA-PBE-relaxed structure, the X-ray powder pattern of BiSO6 was simulated for λ = 1.5418 Å (Cu Kα).
Neutral-atom scattering factors, no anomalous dispersion.

Most intense lines, 5° ≤ 2θ ≤ 70°, in order of rising 2θ:
- 10.78 deg, intensity 90
- 17.59 deg, intensity 17
- 18.11 deg, intensity 27
- 18.27 deg, intensity 100
- 18.41 deg, intensity 18
- 26.27 deg, intensity 55
- 29.66 deg, intensity 15
- 29.78 deg, intensity 26
- 31.64 deg, intensity 14
- 33.31 deg, intensity 20
- 36.04 deg, intensity 19
- 40.14 deg, intensity 21

Cell and atoms:
```
data_BiSO6
_chemical_formula_sum 'Bi4 S4 O24'
_cell_length_a 6.270
_cell_length_b 16.417
_cell_length_c 7.590
_cell_angle_alpha 90.00
_cell_angle_beta 126.47
_cell_angle_gamma 90.00
_space_group_name_H-M_alt 'P 1 21/c 1'
_space_group_IT_number 14
_space_group_name_Hall '-P 2ybc'
loop_
_atom_site_label
_atom_site_fract_x
_atom_site_fract_y
_atom_site_fract_z
_atom_site_occupancy
Bi1 0.103 0.179 0.343 1
S1 0.422 0.673 0.615 1
O1 0.037 0.526 0.964 1
O2 0.208 0.736 0.527 1
O3 0.232 0.098 0.208 1
O4 0.322 0.612 0.437 1
O5 0.324 0.211 0.823 1
O6 0.484 0.635 0.819 1
```



# 3
Starting from a GGA-PBE-relaxed structure, the X-ray powder pattern of Bi2S3O12 was simulated for λ = 1.5418 Å (Cu Kα).
Neutral-atom scattering factors, no anomalous dispersion.

Most intense lines, 5° ≤ 2θ ≤ 70°, in order of rising 2θ:
- 13.64 deg, intensity 100
- 17.74 deg, intensity 83
- 19.14 deg, intensity 57
- 20.97 deg, intensity 59
- 26.48 deg, intensity 34
- 27.72 deg, intensity 31
- 28.70 deg, intensity 71
- 28.88 deg, intensity 45
- 31.07 deg, intensity 57
- 33.91 deg, intensity 33
- 34.59 deg, intensity 36
- 46.73 deg, intensity 54

Cell and atoms:
```
data_Bi2S3O12
_chemical_formula_sum 'Bi8 S12 O48'
_cell_length_a 14.331
_cell_length_b 9.276
_cell_length_c 9.336
_cell_angle_alpha 90.00
_cell_angle_beta 116.08
_cell_angle_gamma 90.00
_space_group_name_H-M_alt 'C 1 2/c 1'
_space_group_IT_number 15
_space_group_name_Hall '-C 2yc'
loop_
_atom_site_label
_atom_site_fract_x
_atom_site_fract_y
_atom_site_fract_z
_atom_site_occupancy
Bi1 0.117 0.246 0.021 1
S1 0.000 0.441 0.250 1
S2 0.150 0.105 0.676 1
O1 0.036 0.122 0.628 1
O2 0.053 0.345 0.180 1
O3 0.079 0.469 0.875 1
O4 0.174 0.054 0.195 1
O5 0.187 0.176 0.574 1
O6 0.204 0.166 0.848 1
```



# 4
Starting from a GGA-PBE-relaxed structure, the X-ray powder pattern of Bi2S3O12 was simulated for λ = 1.5418 Å (Cu Kα).
Neutral-atom scattering factors, no anomalous dispersion.

Most intense lines, 5° ≤ 2θ ≤ 70°, in order of rising 2θ:
- 13.29 deg, intensity 49
- 18.24 deg, intensity 100
- 19.41 deg, intensity 86
- 22.25 deg, intensity 25
- 26.76 deg, intensity 57
- 29.22 deg, intensity 76
- 33.27 deg, intensity 46
- 33.96 deg, intensity 38
- 43.75 deg, intensity 23
- 45.39 deg, intensity 21
- 47.79 deg, intensity 32
- 52.98 deg, intensity 24

Cell and atoms:
```
data_Bi2S3O12
_chemical_formula_sum 'Bi12 S18 O72'
_cell_length_a 9.1458
_cell_length_b 9.1458
_cell_length_c 24.6595
_cell_angle_alpha 90.00
_cell_angle_beta 90.00
_cell_angle_gamma 120.00
_space_group_name_H-M_alt 'R -3'
_space_group_IT_number 148
_space_group_name_Hall '-R 3'
loop_
_atom_site_label
_atom_site_fract_x
_atom_site_fract_y
_atom_site_fract_z
_atom_site_occupancy
Bi1 0.0000 0.0000 0.1436 1
Bi2 0.0000 0.0000 0.3486 1
S1 0.0052 0.2901 0.7496 1
O1 0.0062 0.7864 0.1962 1
O2 0.0317 0.2210 0.0867 1
O3 0.0782 0.5005 0.0647 1
O4 0.0859 0.2287 0.7097 1
```



# 5
Starting from a GGA-PBE-relaxed structure, the X-ray powder pattern of Bi14SO24 was simulated for λ = 1.5418 Å (Cu Kα).
Neutral-atom scattering factors, no anomalous dispersion.

Most intense lines, 5° ≤ 2θ ≤ 70°, in order of rising 2θ:
- 11.26 deg, intensity 9
- 27.39 deg, intensity 100
- 30.99 deg, intensity 16
- 32.04 deg, intensity 13
- 32.14 deg, intensity 13
- 45.18 deg, intensity 14
- 45.26 deg, intensity 14
- 45.99 deg, intensity 6
- 52.97 deg, intensity 16
- 54.32 deg, intensity 13
- 54.46 deg, intensity 13
- 56.53 deg, intensity 10

Cell and atoms:
```
data_Bi14SO24
_chemical_formula_sum 'Bi28 S2 O48'
_cell_length_a 12.469
_cell_length_b 17.310
_cell_length_c 8.804
_cell_angle_alpha 90.00
_cell_angle_beta 134.88
_cell_angle_gamma 90.00
_space_group_name_H-M_alt 'C 1 m 1'
_space_group_IT_number 8
_space_group_name_Hall 'C -2y'
loop_
_atom_site_label
_atom_site_fract_x
_atom_site_fract_y
_atom_site_fract_z
_atom_site_occupancy
Bi1 0.000 0.000 0.000 1
Bi2 0.011 0.330 0.062 1
Bi3 0.102 0.169 0.839 1
Bi4 0.157 0.500 0.882 1
Bi5 0.212 0.341 0.649 1
Bi6 0.272 0.500 0.425 1
Bi7 0.321 0.168 0.464 1
Bi8 0.413 0.332 0.245 1
Bi9 0.428 0.000 0.311 1
S1 0.187 0.000 0.608 1
O1 0.022 0.000 0.481 1
O2 0.029 0.422 0.591 1
O3 0.089 0.421 0.346 1
O4 0.138 0.254 0.334 1
O5 0.205 0.000 0.457 1
O6 0.211 0.119 0.151 1
O7 0.211 0.381 0.151 1
O8 0.260 0.071 0.746 1
O9 0.289 0.255 0.976 1
O10 0.334 0.422 0.958 1
O11 0.395 0.421 0.712 1
O12 0.457 0.255 0.820 1
O13 0.465 0.245 0.481 1
```



# 6
Starting from a GGA-PBE-relaxed structure, the X-ray powder pattern of Bi2S2O was simulated for λ = 1.5418 Å (Cu Kα).
Neutral-atom scattering factors, no anomalous dispersion.

Most intense lines, 5° ≤ 2θ ≤ 70°, in order of rising 2θ:
- 25.03 deg, intensity 28
- 25.65 deg, intensity 100
- 29.30 deg, intensity 11
- 31.81 deg, intensity 57
- 38.90 deg, intensity 20
- 40.89 deg, intensity 38
- 44.50 deg, intensity 18
- 45.60 deg, intensity 24
- 52.72 deg, intensity 16
- 53.05 deg, intensity 30
- 55.78 deg, intensity 14
- 65.62 deg, intensity 16

Cell and atoms:
```
data_Bi2S2O
_chemical_formula_sum 'Bi4 S4 O2'
_cell_length_a 3.979
_cell_length_b 3.979
_cell_length_c 14.233
_cell_angle_alpha 90.00
_cell_angle_beta 90.00
_cell_angle_gamma 90.00
_space_group_name_H-M_alt 'P 4/n m m'
_space_group_IT_number 129
loop_
_space_group_symop_operation_xyz
'x,y,z'
'-x,-y,-z'
'-y+1/2,x,z'
'y+1/2,-x,-z'
'-x+1/2,-y+1/2,z'
'x+1/2,y+1/2,-z'
'y,-x+1/2,z'
'-y,x+1/2,-z'
'x+1/2,-y,-z'
'-x+1/2,y,z'
'-y,-x,-z'
'y,x,z'
'-x,y+1/2,-z'
'x,-y+1/2,z'
'y+1/2,x+1/2,-z'
'-y+1/2,-x+1/2,z'
loop_
_atom_site_label
_atom_site_fract_x
_atom_site_fract_y
_atom_site_fract_z
_atom_site_occupancy
Bi1 0.250 0.250 0.090 1
Bi2 0.250 0.250 0.634 1
S1 0.250 0.250 0.394 1
S2 0.250 0.250 0.812 1
O1 0.250 0.750 0.000 1
```



# 7
Starting from a GGA-PBE-relaxed structure, the X-ray powder pattern of Bi14SO24 was simulated for λ = 1.5418 Å (Cu Kα).
Neutral-atom scattering factors, no anomalous dispersion.

Most intense lines, 5° ≤ 2θ ≤ 70°, in order of rising 2θ:
- 11.26 deg, intensity 8
- 27.43 deg, intensity 100
- 31.31 deg, intensity 15
- 32.01 deg, intensity 26
- 45.39 deg, intensity 28
- 45.80 deg, intensity 7
- 46.00 deg, intensity 6
- 53.40 deg, intensity 16
- 54.24 deg, intensity 13
- 54.37 deg, intensity 13
- 56.53 deg, intensity 5
- 56.70 deg, intensity 5

Cell and atoms:
```
data_Bi14SO24
_chemical_formula_sum 'Bi14 S1 O24'
_cell_length_a 8.826
_cell_length_b 8.857
_cell_length_c 10.603
_cell_angle_alpha 114.62
_cell_angle_beta 114.52
_cell_angle_gamma 90.14
_space_group_name_H-M_alt 'P -1'
_space_group_IT_number 2
_space_group_name_Hall '-P 1'
loop_
_atom_site_label
_atom_site_fract_x
_atom_site_fract_y
_atom_site_fract_z
_atom_site_occupancy
Bi1 0.030 0.438 0.160 1
Bi2 0.057 0.283 0.501 1
Bi3 0.160 0.158 0.818 1
Bi4 0.226 0.038 0.168 1
Bi5 0.290 0.939 0.499 1
Bi6 0.375 0.779 0.838 1
Bi7 0.443 0.631 0.167 1
S1 0.500 0.500 0.500 1
O1 0.006 0.833 0.007 1
O2 0.043 0.737 0.342 1
O3 0.104 0.040 0.341 1
O4 0.122 0.612 0.733 1
O5 0.168 0.498 0.998 1
O6 0.200 0.898 0.657 1
O7 0.261 0.200 0.658 1
O8 0.327 0.002 0.995 1
O9 0.385 0.886 0.269 1
O10 0.435 0.418 0.316 1
O11 0.486 0.683 0.508 1
O12 0.494 0.325 0.994 1
```